Calculated XRD peak list of NaCoSeO for Cu Kα (weighted mean of Kα1 and Kα2), from a DFT-relaxed cell (GGA+U, OQMD).
No peak broadening, texture or thermal motion is included.

```
data_NaCoSeO
_chemical_formula_sum 'Na4 Co4 Se4 O4'
_symmetry_space_group_name_H-M 'P 1 21 1'
_symmetry_Int_Tables_number 4
_symmetry_space_group_name_Hall 'P 2yb'
_cell_length_a 5.581
_cell_length_b 5.385
_cell_length_c 9.471
_cell_angle_alpha 90.00
_cell_angle_beta 98.72
_cell_angle_gamma 90.00
loop_
_atom_site_label
_atom_site_fract_x
_atom_site_fract_y
_atom_site_fract_z
_atom_site_occupancy
Na1 0.122 0.000 0.240 1
Na2 0.328 0.399 0.584 1
Co1 0.025 0.567 0.062 1
Co2 0.487 0.083 0.971 1
Se1 0.002 0.481 0.324 1
Se2 0.462 0.904 0.698 1
O1 0.222 0.344 0.954 1
O2 0.265 0.841 0.045 1
```

The 6 most intense peaks (10° ≤ 2θ ≤ 90°), sorted by position:
hkl 0 1 1, 19.01 deg, I 1000
hkl 0 0 3, 28.61 deg, I 674
hkl 2 0 0, 32.45 deg, I 529
hkl 0 2 0, 33.24 deg, I 482
hkl 0 1 4, 42.10 deg, I 448
hkl 2 0 3, 47.16 deg, I 413